# Tc2AsSe
Calculated X-ray diffraction stick pattern, Cu Ka. Input: a structure optimized by DFT (PBE).
Kinematic intensities with the Lorentz-polarization factor, no thermal factor.

Peak list (10 most intense, 10 to 80 degrees two-theta, in order of rising 2θ)
2θ = 17.8°, d 4.982, I 20; 2θ = 36.8°, d 2.445, I 100; 2θ = 40.8°, d 2.213, I 37; 2θ = 42.5°, d 2.127, I 34; 2θ = 45.5°, d 1.993, I 20; 2θ = 48.6°, d 1.874, I 42; 2θ = 62.1°, d 1.494, I 26; 2θ = 70.0°, d 1.344, I 12; 2θ = 74.4°, d 1.275, I 12; 2θ = 77.0°, d 1.238, I 5

Atomic structure:
```
12
Lattice="2.987 0.000 0.000 -1.494 2.587 0.000 0.000 0.000 29.894" Properties=species:S:1:pos:R:3 pbc="T T T"
Tc 0.000 0.000 0.000
Tc 0.000 0.000 7.731
Tc 0.000 1.725 19.930
Tc 0.000 1.725 27.661
Tc 1.494 0.862 9.965
Tc 1.494 0.862 17.696
As 0.000 0.000 21.791
As 0.000 1.725 11.827
As 1.494 0.862 1.862
Se 0.000 0.000 15.919
Se 0.000 1.725 5.955
Se 1.494 0.862 25.884
```

---

# Y2PuHgO8
Calculated X-ray diffraction stick pattern, Cu Ka. Input: a structure optimized by DFT (PBE).
Kinematic intensities with the Lorentz-polarization factor, no thermal factor.

Peak list (10 most intense, 10 to 80 degrees two-theta, in order of rising 2θ)
2θ = 17.9°, d 4.965, I 33; 2θ = 24.6°, d 3.618, I 51; 2θ = 26.1°, d 3.412, I 43; 2θ = 30.1°, d 2.968, I 100; 2θ = 34.7°, d 2.588, I 13; 2θ = 36.3°, d 2.477, I 12; 2θ = 46.8°, d 1.940, I 18; 2θ = 46.9°, d 1.936, I 18; 2θ = 48.6°, d 1.874, I 17; 2θ = 48.7°, d 1.870, I 17

Atomic structure:
```
12
Lattice="4.962 0.000 0.000 0.000 7.407 0.000 -0.291 0.000 4.976" Properties=species:S:1:pos:R:3 pbc="T T T"
Y 0.000 1.792 0.000
Y 0.000 5.614 0.000
Pu 2.335 3.703 2.488
Hg 2.335 0.000 2.488
O 0.918 0.000 0.982
O 0.948 3.703 1.035
O 1.351 2.288 3.437
O 1.351 5.118 3.437
O 3.319 2.288 1.539
O 3.319 5.118 1.539
O 3.722 3.703 3.941
O 3.752 0.000 3.995
```

---

# NbIrSe
Calculated X-ray diffraction stick pattern, Cu Ka. Input: a structure optimized by DFT (PBE).
Kinematic intensities with the Lorentz-polarization factor, no thermal factor.

Peak list (10 most intense, 10 to 80 degrees two-theta, in order of rising 2θ)
2θ = 17.6°, d 5.035, I 22; 2θ = 28.8°, d 3.103, I 14; 2θ = 29.3°, d 3.052, I 49; 2θ = 39.5°, d 2.279, I 60; 2θ = 39.9°, d 2.258, I 100; 2θ = 51.3°, d 1.782, I 32; 2θ = 52.2°, d 1.753, I 19; 2θ = 54.7°, d 1.679, I 22; 2θ = 67.4°, d 1.389, I 25; 2θ = 78.3°, d 1.222, I 18

Atomic structure:
```
12
Lattice="10.070 0.000 0.000 0.000 3.505 0.000 0.000 0.000 6.207" Properties=species:S:1:pos:R:3 pbc="T T T"
Nb 1.680 0.000 0.000
Nb 1.680 1.752 3.103
Nb 8.390 0.000 0.000
Nb 8.390 1.752 3.103
Ir 0.000 0.000 4.136
Ir 0.000 1.752 1.033
Ir 5.035 0.000 5.988
Ir 5.035 1.752 2.885
Se 3.408 0.000 4.132
Se 3.408 1.752 1.028
Se 6.663 0.000 4.132
Se 6.663 1.752 1.028
```

---

# Pr4Cd3Rh
Calculated X-ray diffraction stick pattern, Cu Ka. Input: a structure optimized by DFT (PBE).
Kinematic intensities with the Lorentz-polarization factor, no thermal factor.

Peak list (10 most intense, 10 to 80 degrees two-theta, in order of rising 2θ)
2θ = 33.1°, d 2.707, I 100; 2θ = 33.7°, d 2.656, I 51; 2θ = 46.5°, d 1.951, I 8; 2θ = 48.5°, d 1.878, I 18; 2θ = 53.7°, d 1.708, I 3; 2θ = 58.7°, d 1.573, I 15; 2θ = 59.9°, d 1.543, I 35; 2θ = 69.5°, d 1.353, I 9; 2θ = 71.0°, d 1.328, I 9; 2θ = 77.7°, d 1.229, I 4

Atomic structure:
```
8
Lattice="3.757 0.000 0.000 0.000 3.757 0.000 0.000 0.000 15.611" Properties=species:S:1:pos:R:3 pbc="T T T"
Pr 0.000 0.000 1.650
Pr 0.000 0.000 5.784
Pr 0.000 0.000 9.826
Pr 0.000 0.000 13.960
Cd 1.878 1.878 3.778
Cd 1.878 1.878 7.805
Cd 1.878 1.878 11.832
Rh 1.878 1.878 0.000
```

---

# Ac4TePd3
Calculated X-ray diffraction stick pattern, Cu Ka. Input: a structure optimized by DFT (PBE).
Kinematic intensities with the Lorentz-polarization factor, no thermal factor.

Peak list (10 most intense, 10 to 80 degrees two-theta, in order of rising 2θ)
2θ = 25.7°, d 3.468, I 100; 2θ = 29.1°, d 3.073, I 13; 2θ = 33.2°, d 2.695, I 62; 2θ = 38.0°, d 2.366, I 12; 2θ = 39.8°, d 2.266, I 52; 2θ = 43.3°, d 2.091, I 13; 2θ = 48.0°, d 1.897, I 19; 2θ = 52.8°, d 1.734, I 17; 2θ = 64.0°, d 1.454, I 16; 2θ = 68.1°, d 1.377, I 16

Atomic structure:
```
8
Lattice="4.531 0.000 0.000 -2.266 3.924 0.000 0.000 0.000 14.828" Properties=species:S:1:pos:R:3 pbc="T T T"
Ac 0.000 2.616 5.118
Ac 0.000 2.616 13.134
Ac 2.266 1.308 1.694
Ac 2.266 1.308 9.709
Te 0.000 0.000 7.414
Pd 0.000 0.000 0.000
Pd 0.000 0.000 3.355
Pd 0.000 0.000 11.473
```

---

# Mg14ZnSb
Calculated X-ray diffraction stick pattern, Cu Ka. Input: a structure optimized by DFT (PBE).
Kinematic intensities with the Lorentz-polarization factor, no thermal factor.

Peak list (10 most intense, 10 to 80 degrees two-theta, in order of rising 2θ)
2θ = 16.1°, d 5.517, I 33; 2θ = 23.8°, d 3.741, I 27; 2θ = 32.5°, d 2.759, I 28; 2θ = 35.3°, d 2.545, I 25; 2θ = 37.1°, d 2.425, I 100; 2θ = 48.7°, d 1.870, I 17; 2θ = 57.9°, d 1.593, I 17; 2θ = 64.5°, d 1.445, I 18; 2θ = 69.6°, d 1.350, I 19; 2θ = 70.8°, d 1.331, I 14

Atomic structure:
```
16
Lattice="6.371 0.000 0.000 -3.185 5.517 0.000 0.000 0.000 10.179" Properties=species:S:1:pos:R:3 pbc="T T T"
Mg 0.000 0.000 2.513
Mg 0.000 0.000 7.666
Mg -1.592 2.759 2.591
Mg -1.592 2.759 7.588
Mg 1.583 0.914 5.089
Mg 1.598 0.923 0.000
Mg 0.000 5.517 2.591
Mg 0.000 5.517 7.588
Mg 1.592 2.759 2.591
Mg 1.592 2.759 7.588
Mg 4.773 0.923 0.000
Mg 3.185 3.672 0.000
Mg 4.787 0.914 5.089
Mg 3.185 3.689 5.089
Zn 0.000 3.678 5.089
Sb 0.000 3.678 0.000
```

---

# Ta3Au2N
Calculated X-ray diffraction stick pattern, Cu Ka. Input: a structure optimized by DFT (PBE).
Kinematic intensities with the Lorentz-polarization factor, no thermal factor.

Peak list (10 most intense, 10 to 80 degrees two-theta, in order of rising 2θ)
2θ = 37.7°, d 2.384, I 100; 2θ = 39.9°, d 2.262, I 55; 2θ = 41.9°, d 2.156, I 25; 2θ = 47.6°, d 1.911, I 11; 2θ = 54.4°, d 1.686, I 7; 2θ = 57.6°, d 1.599, I 7; 2θ = 66.7°, d 1.403, I 29; 2θ = 68.1°, d 1.376, I 5; 2θ = 71.0°, d 1.328, I 25; 2θ = 79.2°, d 1.209, I 6

Atomic structure:
```
24
Lattice="7.152 0.000 0.000 0.000 7.152 0.000 0.000 0.000 7.152" Properties=species:S:1:pos:R:3 pbc="T T T"
Ta 0.310 0.894 5.673
Ta 0.894 5.673 0.310
Ta 1.478 3.886 2.682
Ta 2.098 3.266 6.258
Ta 2.682 1.478 3.886
Ta 3.266 6.258 2.098
Ta 3.886 2.682 1.478
Ta 4.470 5.054 6.842
Ta 5.054 6.842 4.470
Ta 5.673 0.310 0.894
Ta 6.258 2.098 3.266
Ta 6.842 4.470 5.054
Au 0.448 6.704 3.128
Au 1.340 1.340 1.340
Au 2.236 5.812 4.916
Au 3.128 0.448 6.704
Au 4.024 4.024 4.024
Au 4.916 2.236 5.812
Au 5.812 4.916 2.236
Au 6.704 3.128 0.448
N 0.894 2.682 4.470
N 2.682 4.470 0.894
N 4.470 0.894 2.682
N 6.258 6.258 6.258
```

---

# Ba2Pb5Au4
Calculated X-ray diffraction stick pattern, Cu Ka. Input: a structure optimized by DFT (PBE).
Kinematic intensities with the Lorentz-polarization factor, no thermal factor.

Peak list (10 most intense, 10 to 80 degrees two-theta, in order of rising 2θ)
2θ = 15.7°, d 5.629, I 71; 2θ = 26.5°, d 3.369, I 59; 2θ = 29.8°, d 3.002, I 100; 2θ = 30.5°, d 2.935, I 92; 2θ = 34.2°, d 2.625, I 86; 2θ = 37.0°, d 2.432, I 65; 2θ = 37.3°, d 2.411, I 36; 2θ = 39.5°, d 2.282, I 35; 2θ = 42.8°, d 2.113, I 47; 2θ = 54.7°, d 1.677, I 31

Atomic structure:
```
11
Lattice="0.000 6.087 8.091 3.450 0.000 8.091 3.450 6.087 0.000" Properties=species:S:1:pos:R:3 pbc="T T T"
Ba 3.450 6.087 2.354
Ba 3.450 6.087 13.828
Pb 1.725 3.043 0.000
Pb 1.725 3.043 4.046
Pb 1.725 3.043 8.091
Pb 3.450 6.087 8.091
Pb 5.176 9.130 12.137
Au 3.450 4.624 5.656
Au 3.450 7.549 5.656
Au 3.450 4.624 10.526
Au 3.450 7.549 10.526
```

---

# LiHoZn2Ag5
Calculated X-ray diffraction stick pattern, Cu Ka. Input: a structure optimized by DFT (PBE).
Kinematic intensities with the Lorentz-polarization factor, no thermal factor.

Peak list (10 most intense, 10 to 80 degrees two-theta, in order of rising 2θ)
2θ = 11.0°, d 8.031, I 46; 2θ = 21.7°, d 4.093, I 12; 2θ = 34.8°, d 2.579, I 100; 2θ = 37.8°, d 2.379, I 66; 2θ = 43.2°, d 2.095, I 37; 2θ = 54.6°, d 1.682, I 22; 2θ = 60.3°, d 1.534, I 13; 2θ = 66.4°, d 1.409, I 29; 2θ = 72.0°, d 1.311, I 15; 2θ = 76.6°, d 1.244, I 12

Atomic structure:
```
9
Lattice="4.757 0.000 0.000 0.000 4.757 0.000 0.000 0.000 8.031" Properties=species:S:1:pos:R:3 pbc="T T T"
Li 0.000 0.000 0.000
Ho 0.000 0.000 4.015
Zn 2.379 2.379 1.193
Zn 2.379 2.379 6.838
Ag 0.000 2.379 2.156
Ag 0.000 2.379 5.875
Ag 2.379 0.000 2.156
Ag 2.379 0.000 5.875
Ag 2.379 2.379 4.015
```

---

# CaPrDyY
Calculated X-ray diffraction stick pattern, Cu Ka. Input: a structure optimized by DFT (PBE).
Kinematic intensities with the Lorentz-polarization factor, no thermal factor.

Peak list (10 most intense, 10 to 80 degrees two-theta, in order of rising 2θ)
2θ = 25.8°, d 3.454, I 9; 2θ = 29.8°, d 3.002, I 100; 2θ = 34.1°, d 2.628, I 16; 2θ = 34.7°, d 2.586, I 34; 2θ = 35.5°, d 2.530, I 13; 2θ = 49.5°, d 1.843, I 22; 2θ = 49.9°, d 1.828, I 12; 2θ = 58.4°, d 1.580, I 12; 2θ = 59.2°, d 1.562, I 28; 2θ = 61.8°, d 1.501, I 11

Atomic structure:
```
4
Lattice="3.657 0.000 0.000 0.000 3.657 0.000 0.000 0.000 10.511" Properties=species:S:1:pos:R:3 pbc="T T T"
Ca 0.000 0.000 0.000
Pr 1.828 1.828 7.642
Dy 0.000 0.000 5.157
Y 1.828 1.828 2.761
```

---

# PrPuAsP
Calculated X-ray diffraction stick pattern, Cu Ka. Input: a structure optimized by DFT (PBE).
Kinematic intensities with the Lorentz-polarization factor, no thermal factor.

Peak list (10 most intense, 10 to 80 degrees two-theta, in order of rising 2θ)
2θ = 21.3°, d 4.169, I 12; 2θ = 26.2°, d 3.403, I 57; 2θ = 30.3°, d 2.947, I 100; 2θ = 43.4°, d 2.084, I 75; 2θ = 51.4°, d 1.777, I 29; 2θ = 53.9°, d 1.702, I 27; 2θ = 63.1°, d 1.474, I 12; 2θ = 69.5°, d 1.352, I 12; 2θ = 71.6°, d 1.318, I 35; 2θ = 79.7°, d 1.203, I 26

Atomic structure:
```
4
Lattice="4.169 0.000 0.000 0.000 4.169 0.000 0.000 0.000 5.893" Properties=species:S:1:pos:R:3 pbc="T T T"
Pr 0.000 0.000 0.000
Pu 2.085 2.085 2.946
As 2.085 2.085 0.000
P 0.000 0.000 2.946
```

---

# Pu4CCl5
Calculated X-ray diffraction stick pattern, Cu Ka. Input: a structure optimized by DFT (PBE).
Kinematic intensities with the Lorentz-polarization factor, no thermal factor.

Peak list (10 most intense, 10 to 80 degrees two-theta, in order of rising 2θ)
2θ = 10.6°, d 8.352, I 42; 2θ = 11.4°, d 7.746, I 100; 2θ = 27.4°, d 3.256, I 25; 2θ = 27.8°, d 3.204, I 27; 2θ = 28.8°, d 3.104, I 53; 2θ = 32.2°, d 2.784, I 42; 2θ = 32.3°, d 2.769, I 27; 2θ = 32.9°, d 2.720, I 86; 2θ = 46.4°, d 1.957, I 27; 2θ = 47.0°, d 1.935, I 29

Atomic structure:
```
10
Lattice="8.552 -1.870 0.000 8.552 1.870 0.000 -1.708 0.000 7.746" Properties=species:S:1:pos:R:3 pbc="T T T"
Pu -0.467 0.000 2.197
Pu 5.248 0.000 3.332
Pu 10.149 0.000 4.414
Pu 15.864 0.000 5.548
C 7.699 0.000 3.873
Cl 1.394 0.000 6.475
Cl 2.394 0.000 2.447
Cl 8.552 0.000 0.000
Cl 13.003 0.000 5.299
Cl 14.003 0.000 1.270
```

---

# PrSm3Sc
Calculated X-ray diffraction stick pattern, Cu Ka. Input: a structure optimized by DFT (PBE).
Kinematic intensities with the Lorentz-polarization factor, no thermal factor.

Peak list (10 most intense, 10 to 80 degrees two-theta, in order of rising 2θ)
2θ = 26.8°, d 3.323, I 19; 2θ = 29.1°, d 3.067, I 31; 2θ = 29.4°, d 3.039, I 41; 2θ = 30.4°, d 2.938, I 61; 2θ = 31.4°, d 2.851, I 69; 2θ = 32.4°, d 2.761, I 59; 2θ = 32.7°, d 2.736, I 100; 2θ = 34.4°, d 2.610, I 22; 2θ = 58.2°, d 1.586, I 15; 2θ = 60.8°, d 1.523, I 15

Atomic structure:
```
20
Lattice="9.994 -4.959 0.000 9.994 4.959 0.000 -0.483 0.000 6.606" Properties=species:S:1:pos:R:3 pbc="T T T"
Pr 9.632 3.954 4.955
Pr 9.873 2.494 1.652
Pr 9.632 -2.494 4.955
Pr 9.873 -3.954 1.652
Sm 2.753 1.036 3.895
Sm 6.246 2.462 6.078
Sm 2.995 -1.036 0.592
Sm 8.173 0.575 3.991
Sm 13.017 2.462 3.832
Sm 8.415 -0.575 0.688
Sm 11.090 0.575 5.919
Sm 6.488 -2.462 2.775
Sm 11.332 -0.575 2.615
Sm 16.510 1.036 6.015
Sm 13.259 -2.462 0.529
Sm 16.752 -1.036 2.711
Sc 5.533 0.641 2.097
Sc 5.291 -0.641 5.400
Sc 14.213 0.641 1.206
Sc 13.972 -0.641 4.509
```

---

# Ac2TmTl3
Calculated X-ray diffraction stick pattern, Cu Ka. Input: a structure optimized by DFT (PBE).
Kinematic intensities with the Lorentz-polarization factor, no thermal factor.

Peak list (10 most intense, 10 to 80 degrees two-theta, in order of rising 2θ)
2θ = 31.4°, d 2.852, I 100; 2θ = 32.0°, d 2.795, I 53; 2θ = 44.0°, d 2.059, I 7; 2θ = 45.9°, d 1.976, I 20; 2θ = 55.4°, d 1.658, I 15; 2θ = 56.7°, d 1.624, I 39; 2θ = 65.5°, d 1.426, I 9; 2θ = 67.0°, d 1.397, I 7; 2θ = 75.8°, d 1.255, I 8; 2θ = 76.2°, d 1.250, I 9

Atomic structure:
```
6
Lattice="3.952 0.000 0.000 0.000 3.952 0.000 0.000 0.000 12.354" Properties=species:S:1:pos:R:3 pbc="T T T"
Ac 0.000 0.000 2.207
Ac 0.000 0.000 10.147
Tm 0.000 0.000 6.177
Tl 1.976 1.976 0.000
Tl 1.976 1.976 4.464
Tl 1.976 1.976 7.890
```